No. 1
Structure and computed X-ray powder pattern of Fe6BiP6O26 (a GGA+U-relaxed structure; Cu Ka).
Lines closer than 0.1° are merged.

Main lines, by intensity (5° ≤ 2θ ≤ 70°):
two_theta, d/Å, intensity
8.68, 10.191, 100.0
19.24, 4.613, 81.3
23.62, 3.767, 61.2
27.83, 3.206, 51.2
30.30, 2.950, 50.8
35.22, 2.548, 38.4

Crystal structure
```
data_Fe6BiP6O26
_chemical_formula_sum 'Fe6 Bi1 P6 O26'
_cell_length_a 7.6638
_cell_length_b 6.4118
_cell_length_c 10.3496
_cell_angle_alpha 90.00
_cell_angle_beta 100.04
_cell_angle_gamma 90.00
_symmetry_space_group_name_H-M 'P 1'
_symmetry_Int_Tables_number 1
_symmetry_space_group_name_Hall 'P 1'
loop_
_atom_site_label
_atom_site_fract_x
_atom_site_fract_y
_atom_site_fract_z
Fe1 0.0000 0.0000 0.0000
Fe2 0.1362 0.5000 0.6298
Fe3 0.4264 0.0000 0.2288
Fe4 0.5711 0.5000 0.8742
Fe5 0.7881 0.2545 0.4258
Fe6 0.7881 0.7455 0.4258
Bi1 0.4322 0.0000 0.6191
P1 0.9997 0.5000 0.9208
P2 0.0421 0.0000 0.6723
P3 0.0954 0.0000 0.3215
P4 0.4638 0.5000 0.5487
P5 0.5175 0.5000 0.1956
P6 0.5666 0.0000 0.9450
O1 0.0328 0.3044 0.0081
O2 0.0328 0.6956 0.0081
O3 0.1283 0.5000 0.8213
O4 0.1449 0.0000 0.1812
O5 0.1651 0.1850 0.6466
O6 0.1651 0.8150 0.6466
O7 0.2736 0.5000 0.4744
O8 0.2897 0.0000 0.4035
O9 0.4120 0.3063 0.2216
O10 0.4120 0.6937 0.2216
O11 0.4285 0.5000 0.6936
O12 0.4336 0.0000 0.0391
O13 0.5328 0.1892 0.8475
O14 0.5328 0.8108 0.8475
O15 0.5671 0.5000 0.0579
O16 0.5713 0.3000 0.5277
O17 0.5713 0.7000 0.5277
O18 0.6557 0.0000 0.3414
O19 0.6945 0.5000 0.3016
O20 0.7576 0.0000 0.0224
O21 0.8070 0.5000 0.8439
O22 0.8687 0.0000 0.5677
O23 0.9019 0.5000 0.5288
O24 0.9927 0.1974 0.3448
O25 0.9927 0.8026 0.3448
O26 0.9967 0.0000 0.8087
```

---

No. 2
Structure and computed X-ray powder pattern of Li5Co5Ni2O12 (a GGA+U-relaxed structure; Cu Ka).
Lines closer than 0.1° are merged.

Main lines, by intensity (5° ≤ 2θ ≤ 70°):
two_theta, d/Å, intensity
44.31, 2.044, 100.0
43.79, 2.068, 51.2
18.80, 4.720, 49.0
64.17, 1.451, 40.0
23.83, 3.735, 34.7
37.89, 2.375, 28.7

Crystal structure
```
data_Li5Co5Ni2O12
_chemical_formula_sum 'Li5 Co5 Ni2 O12'
_cell_length_a 5.0299
_cell_length_b 5.0299
_cell_length_c 9.5689
_cell_angle_alpha 94.70
_cell_angle_beta 94.70
_cell_angle_gamma 119.76
_symmetry_space_group_name_H-M 'P 1'
_symmetry_Int_Tables_number 1
_symmetry_space_group_name_Hall 'P 1'
loop_
_atom_site_label
_atom_site_fract_x
_atom_site_fract_y
_atom_site_fract_z
Li1 0.0000 0.0000 0.0000
Li2 0.0690 0.4091 0.2477
Li3 0.2466 0.2589 0.7509
Li4 0.5909 0.9310 0.7523
Li5 0.7411 0.7534 0.2491
Co1 0.3380 0.6620 0.0000
Co2 0.3904 0.0787 0.2427
Co3 0.4918 0.5082 0.5000
Co4 0.8260 0.1740 0.5000
Co5 0.9213 0.6096 0.7573
Ni1 0.1604 0.8396 0.5000
Ni2 0.6699 0.3301 0.0000
O1 0.0748 0.7096 0.1237
O2 0.1299 0.1550 0.3874
O3 0.1865 0.5253 0.6127
O4 0.2904 0.9252 0.8763
O5 0.3977 0.3772 0.1158
O6 0.4747 0.8135 0.3873
O7 0.5542 0.2367 0.6141
O8 0.6228 0.6023 0.8842
O9 0.6787 0.0317 0.1107
O10 0.7633 0.4458 0.3859
O11 0.8450 0.8701 0.6126
O12 0.9683 0.3213 0.8893
```

---

No. 3
Structure and computed X-ray powder pattern of MgMn6O11F (a GGA+U-relaxed structure; Cu Ka).
Lines closer than 0.1° are merged.

Main lines, by intensity (5° ≤ 2θ ≤ 70°):
two_theta, d/Å, intensity
22.87, 3.888, 100.0
27.95, 3.193, 68.3
35.34, 2.540, 41.3
35.64, 2.519, 35.7
54.79, 1.675, 29.0
49.27, 1.849, 24.1

Crystal structure
```
data_MgMn6O11F
_chemical_formula_sum 'Mg1 Mn6 O11 F1'
_cell_length_a 7.7808
_cell_length_b 2.9461
_cell_length_c 10.2283
_cell_angle_alpha 90.00
_cell_angle_beta 110.54
_cell_angle_gamma 90.00
_symmetry_space_group_name_H-M 'P 1'
_symmetry_Int_Tables_number 1
_symmetry_space_group_name_Hall 'P 1'
loop_
_atom_site_label
_atom_site_fract_x
_atom_site_fract_y
_atom_site_fract_z
Mg1 0.0000 0.0000 0.0000
Mn1 0.0606 0.5000 0.5123
Mn2 0.1986 0.0000 0.8397
Mn3 0.3799 0.5000 0.1877
Mn4 0.4804 0.0000 0.5100
Mn5 0.6153 0.5000 0.8370
Mn6 0.7933 0.0000 0.1900
O1 0.0346 0.5000 0.8654
O2 0.0792 0.0000 0.6407
O3 0.2836 0.0000 0.0535
O4 0.3167 0.5000 0.5174
O5 0.3541 0.5000 0.8392
O6 0.3786 0.0000 0.3080
O7 0.5915 0.0000 0.7126
O8 0.6296 0.5000 0.5051
O9 0.6445 0.5000 0.1942
O10 0.7271 0.0000 0.9727
O11 0.9643 0.0000 0.3812
F1 0.0048 0.5000 0.1403
```

---

No. 4
Structure and computed X-ray powder pattern of MgV4O10 (a GGA+U-relaxed structure; Cu Ka).
Lines closer than 0.1° are merged.

Main lines, by intensity (5° ≤ 2θ ≤ 70°):
two_theta, d/Å, intensity
17.89, 4.959, 100.0
26.34, 3.384, 41.8
31.05, 2.881, 38.8
29.33, 3.045, 33.5
34.39, 2.608, 25.3
30.90, 2.894, 22.9

Crystal structure
```
data_MgV4O10
_chemical_formula_sum 'Mg1 V4 O10'
_cell_length_a 3.5387
_cell_length_b 11.5759
_cell_length_c 4.9592
_cell_angle_alpha 90.00
_cell_angle_beta 90.00
_cell_angle_gamma 90.00
_symmetry_space_group_name_H-M 'P 1'
_symmetry_Int_Tables_number 1
_symmetry_space_group_name_Hall 'P 1'
loop_
_atom_site_label
_atom_site_fract_x
_atom_site_fract_y
_atom_site_fract_z
Mg1 0.0000 0.0000 0.0000
V1 0.0000 0.3516 0.7785
V2 0.0000 0.6484 0.7785
V3 0.5000 0.1494 0.5841
V4 0.5000 0.8506 0.5841
O1 0.0000 0.1731 0.7380
O2 0.0000 0.3613 0.1018
O3 0.0000 0.5000 0.6634
O4 0.0000 0.6387 0.1018
O5 0.0000 0.8269 0.7380
O6 0.5000 0.0000 0.7715
O7 0.5000 0.1153 0.2545
O8 0.5000 0.3201 0.6589
O9 0.5000 0.6799 0.6589
O10 0.5000 0.8847 0.2545
```

---

No. 5
Structure and computed X-ray powder pattern of V3O5F (a GGA+U-relaxed structure; Cu Ka).
Lines closer than 0.1° are merged.

Main lines, by intensity (5° ≤ 2θ ≤ 70°):
two_theta, d/Å, intensity
18.88, 4.701, 100.0
23.48, 3.789, 94.8
23.31, 3.816, 85.6
21.48, 4.137, 78.4
33.24, 2.695, 74.1
31.83, 2.812, 72.8

Crystal structure
```
data_V3O5F
_chemical_formula_sum 'V3 O5 F1'
_cell_length_a 4.9987
_cell_length_b 5.1301
_cell_length_c 5.4471
_cell_angle_alpha 92.96
_cell_angle_beta 114.57
_cell_angle_gamma 118.72
_symmetry_space_group_name_H-M 'P 1'
_symmetry_Int_Tables_number 1
_symmetry_space_group_name_Hall 'P 1'
loop_
_atom_site_label
_atom_site_fract_x
_atom_site_fract_y
_atom_site_fract_z
V1 0.0000 0.0000 0.0000
V2 0.0697 0.5563 0.5322
V3 0.6668 0.3427 0.9212
O1 0.0761 0.7378 0.2141
O2 0.1957 0.9556 0.7753
O3 0.5352 0.6208 0.7599
O4 0.8545 0.2722 0.7357
O5 0.8913 0.1775 0.2112
F1 0.5216 0.3926 0.2359
```

---

No. 6
Structure and computed X-ray powder pattern of Na2Co6O7 (a GGA+U-relaxed structure; Cu Ka).
Lines closer than 0.1° are merged.

Main lines, by intensity (5° ≤ 2θ ≤ 70°):
two_theta, d/Å, intensity
36.23, 2.479, 100.0
18.27, 4.855, 40.5
33.01, 2.714, 34.4
61.06, 1.518, 15.7
47.37, 1.919, 14.8
59.06, 1.564, 11.9

Crystal structure
```
data_Na2Co6O7
_chemical_formula_sum 'Na4 Co12 O14'
_cell_length_a 10.8558
_cell_length_b 10.8558
_cell_length_c 3.2482
_cell_angle_alpha 90.00
_cell_angle_beta 90.00
_cell_angle_gamma 90.00
_symmetry_space_group_name_H-M 'P 1'
_symmetry_Int_Tables_number 1
_symmetry_space_group_name_Hall 'P 1'
loop_
_atom_site_label
_atom_site_fract_x
_atom_site_fract_y
_atom_site_fract_z
Na1 0.1388 0.1388 0.0000
Na2 0.3612 0.6388 0.5000
Na3 0.6388 0.3612 0.5000
Na4 0.8612 0.8612 0.0000
Co1 0.0875 0.6550 0.0034
Co2 0.1191 0.8809 0.5125
Co3 0.1550 0.4125 0.5034
Co4 0.3450 0.9125 0.0034
Co5 0.3809 0.3809 0.0125
Co6 0.4125 0.1550 0.5034
Co7 0.5875 0.8450 0.5034
Co8 0.6191 0.6191 0.0125
Co9 0.6550 0.0875 0.0034
Co10 0.8450 0.5875 0.5034
Co11 0.8809 0.1191 0.5125
Co12 0.9125 0.3450 0.0034
O1 0.0000 0.0000 0.6512
O2 0.0096 0.3038 0.5033
O3 0.1962 0.5096 0.0033
O4 0.1959 0.8041 0.0182
O5 0.3038 0.0096 0.5033
O6 0.3041 0.3041 0.5182
O7 0.4904 0.8038 0.0033
O8 0.5000 0.5000 0.1512
O9 0.5096 0.1962 0.0033
O10 0.6959 0.6959 0.5182
O11 0.6962 0.9904 0.5033
O12 0.8041 0.1959 0.0182
O13 0.8038 0.4904 0.0033
O14 0.9904 0.6962 0.5033
```

---

No. 7
Structure and computed X-ray powder pattern of Li3Co3SbO8 (a GGA+U-relaxed structure; Cu Ka).
Lines closer than 0.1° are merged.

Main lines, by intensity (5° ≤ 2θ ≤ 70°):
two_theta, d/Å, intensity
17.85, 4.969, 100.0
34.84, 2.575, 47.4
42.30, 2.137, 40.9
42.08, 2.147, 20.7
36.42, 2.467, 18.3
61.43, 1.509, 17.6

Crystal structure
```
data_Li3Co3SbO8
_chemical_formula_sum 'Li6 Co6 Sb2 O16'
_cell_length_a 6.0330
_cell_length_b 6.0394
_cell_length_c 10.5190
_cell_angle_alpha 89.76
_cell_angle_beta 73.38
_cell_angle_gamma 60.04
_symmetry_space_group_name_H-M 'P 1'
_symmetry_Int_Tables_number 1
_symmetry_space_group_name_Hall 'P 1'
loop_
_atom_site_label
_atom_site_fract_x
_atom_site_fract_y
_atom_site_fract_z
Li1 0.0015 0.2420 0.2555
Li2 0.4933 0.7556 0.2486
Li3 0.4958 0.7507 0.7522
Li4 0.5042 0.2493 0.2478
Li5 0.5067 0.2444 0.7514
Li6 0.9985 0.7580 0.7445
Co1 0.0000 0.0000 0.0000
Co2 0.0000 0.0000 0.5000
Co3 0.0000 0.5000 0.0000
Co4 0.0000 0.5000 0.5000
Co5 0.5000 0.0000 0.5000
Co6 0.5000 0.5000 0.0000
Sb1 0.5000 0.0000 0.0000
Sb2 0.5000 0.5000 0.5000
O1 0.2444 0.1465 0.3933
O2 0.2475 0.9060 0.1201
O3 0.2501 0.6418 0.8992
O4 0.2566 0.6207 0.3882
O5 0.2607 0.1175 0.8864
O6 0.2643 0.3784 0.6141
O7 0.2732 0.8542 0.6119
O8 0.2855 0.3646 0.1043
O9 0.7145 0.6354 0.8957
O10 0.7268 0.1458 0.3881
O11 0.7357 0.6216 0.3859
O12 0.7393 0.8825 0.1136
O13 0.7434 0.3793 0.6118
O14 0.7499 0.3582 0.1008
O15 0.7525 0.0940 0.8799
O16 0.7556 0.8535 0.6067
```

---

No. 8
Structure and computed X-ray powder pattern of CrWO4 (a GGA+U-relaxed structure; Cu Ka).
Lines closer than 0.1° are merged.

Main lines, by intensity (5° ≤ 2θ ≤ 70°):
two_theta, d/Å, intensity
34.63, 2.590, 100.0
18.95, 4.683, 76.2
26.59, 3.352, 64.8
27.26, 3.272, 60.6
52.32, 1.749, 41.8
53.07, 1.725, 39.9

Crystal structure
```
data_CrWO4
_chemical_formula_sum 'Cr2 W2 O8'
_cell_length_a 5.6169
_cell_length_b 5.6169
_cell_length_c 4.6907
_cell_angle_alpha 91.16
_cell_angle_beta 91.16
_cell_angle_gamma 67.23
_symmetry_space_group_name_H-M 'P 1'
_symmetry_Int_Tables_number 1
_symmetry_space_group_name_Hall 'P 1'
loop_
_atom_site_label
_atom_site_fract_x
_atom_site_fract_y
_atom_site_fract_z
Cr1 0.2502 0.2502 0.0000
Cr2 0.7498 0.7498 0.0000
W1 0.2497 0.7503 0.5000
W2 0.7502 0.2498 0.5000
O1 0.0807 0.1161 0.3050
O2 0.0997 0.6006 0.1877
O3 0.3994 0.9003 0.8123
O4 0.4200 0.3853 0.6961
O5 0.5987 0.0980 0.2058
O6 0.6147 0.5800 0.3039
O7 0.8839 0.9193 0.6950
O8 0.9020 0.4013 0.7942
```